Starting from a crystal structure in Alexandria, relaxed with GGA-PBE, the powder diffractogram of Tl2Hg4Au3 was computed for CuKα.

Most intense lines, 10 to 90 degrees two-theta, by angle:
2θ (°), I/Imax
31.1, 31.7
32.0, 90.7
32.5, 25.3
36.0, 100.0
38.8, 50.0
39.1, 49.1
57.3, 29.0
57.6, 25.2
60.3, 22.9
67.6, 22.8

Structural model:
```
data_Tl2Hg4Au3
_cell_length_a 5.507
_cell_length_b 9.628
_cell_length_c 17.258
_cell_angle_alpha 90.00
_cell_angle_beta 90.00
_cell_angle_gamma 90.00
_symmetry_space_group_name_H-M 'F m m m'
_symmetry_Int_Tables_number 69
_symmetry_space_group_name_Hall '-F 2 2'
loop_
_atom_site_label
_atom_site_fract_x
_atom_site_fract_y
_atom_site_fract_z
_atom_site_occupancy
Tl1 0.000 0.000 0.106 1
Hg1 0.000 0.158 0.322 1
Au1 0.000 0.000 0.500 1
Au2 0.250 0.250 0.000 1
```